Calculated X-ray powder pattern
Compound: MgCrS2
Radiation: λ = 1.5418 Å (Cu Kα)
Structure: a cell relaxed with GGA-PBE
Kinematic intensities with the Lorentz-polarization factor, no thermal factor.

Cell and atoms:
```
8
Lattice="6.7604 0.0000 0.0000 0.0000 5.8917 0.0000 -3.0997 0.0000 6.8132" Properties=species:S:1:pos:R:3 pbc="T T T"
Mg 0.0000 0.0000 0.0000
Mg 3.3802 2.9459 0.0000
Cr 0.0000 2.9459 0.0000
Cr 3.3802 0.0000 0.0000
S -1.4850 2.9459 5.2800
S 1.7655 0.0000 1.5333
S 1.8952 0.0000 5.2800
S 5.1457 2.9459 1.5333
```

Principal peaks in the range 2θ = 5–70°, in order of rising 2θ:
| d [Å] | Position (°2θ) | I/Imax |
| --- | --- | --- |
| 6.813 | 12.99 | 100 |
| 4.256 | 20.87 | 43 |
| 3.219 | 27.71 | 28 |
| 2.946 | 30.34 | 32 |
| 2.704 | 33.13 | 19 |
| 1.883 | 48.34 | 20 |